(1)
Starting from a structure optimized by DFT (PBE), the X-ray diffraction stick pattern of Ho2MgTc was calculated for Cu Kα (λ = 1.5418 Å).
Intensities are scaled so that the largest is 100.

Principal peaks in the range 10° ≤ 2θ ≤ 80°, in order of falling intensity:
2θ = 35.78°, I 100
2θ = 64.29°, I 36
2θ = 25.09°, I 24
2θ = 51.50°, I 18
2θ = 75.81°, I 11
2θ = 58.12°, I 10
2θ = 44.20°, I 7
2θ = 21.69°, I 7
2θ = 42.23°, I 3
2θ = 56.51°, I 1
2θ = 68.71°, I 1
2θ = 79.96°, I 1

Cell and atoms:
```
data_Ho2MgTc
_chemical_formula_sum 'Ho8 Mg4 Tc4'
_space_group_name_H-M_alt 'F m -3 m'
_space_group_IT_number 225
_space_group_name_Hall '-F 4 2 3'
_cell_length_a 7.098
_cell_length_b 7.098
_cell_length_c 7.098
_cell_angle_alpha 90.00
_cell_angle_beta 90.00
_cell_angle_gamma 90.00
loop_
_atom_site_label
_atom_site_fract_x
_atom_site_fract_y
_atom_site_fract_z
Ho1 0.250 0.250 0.250
Mg1 0.000 0.000 0.000
Tc1 0.000 0.000 0.500
```


(2)
Starting from a structure optimized by DFT (PBE), the X-ray diffraction stick pattern of La2Zr2O7 was calculated for Cu Kα (λ = 1.5418 Å).
Intensities are scaled so that the largest is 100.

Principal peaks in the range 10° ≤ 2θ ≤ 80°, in order of falling intensity:
2θ = 28.38°, I 100
2θ = 47.20°, I 49
2θ = 56.00°, I 44
2θ = 32.89°, I 31
2θ = 76.20°, I 17
2θ = 78.55°, I 14
2θ = 58.73°, I 10
2θ = 68.97°, I 7
2θ = 35.94°, I 5
2θ = 14.08°, I 3
2θ = 43.16°, I 2
2θ = 49.51°, I 1

Cell and atoms:
a = 10.892 Å, b = 10.892 Å, c = 10.892 Å
α = 90.00°, β = 90.00°, γ = 90.00°
Space group Fd-3m (No. 227, origin choice 2)
One atom of each set of equivalent atoms:
La: 0.000 0.000 0.000 [16 per cell]
Zr: 0.000 0.000 0.500 [16 per cell]
O: 0.083 0.375 0.875 [48 per cell]
O: 0.125 0.125 0.125 [8 per cell]